# 1
For PmSb6Rh12, a crystal structure in Alexandria, relaxed with GGA-PBE gives the computed powder diffractogram in this record (Cu Kα X-rays).
No peak broadening, texture or thermal motion is included.

Principal peaks in the range 2θ = 10–80°, by angle:
2theta	I (rel.)	index
32.73	100	1 3 1
35.18	78	1 1 3
39.14	58	3 2 1
41.26	50	0 3 3
46.39	51	0 2 4
48.70	83	5 0 2

Atomic structure:
Cell: 12.0395 12.0395 8.4482 Å, 90.00 90.00 120.00°
Space group R-3m (No. 166, hexagonal axes)
Symmetry-distinct sites (fractional):
Pm1 0.0000 0.0000 0.0000 [3 per cell]
Sb1 0.0419 0.5209 0.2536 [18 per cell]
Rh1 0.0000 0.3775 0.5000 [18 per cell]
Rh2 0.0774 0.1548 0.3214 [18 per cell]

***

# 2
For Er6Tl5Pb, a crystal structure in Alexandria, relaxed with GGA-PBE gives the computed powder diffractogram in this record (Cu Kα X-rays).
No peak broadening, texture or thermal motion is included.

Principal peaks in the range 2θ = 10–80°, by angle:
2theta	I (rel.)	index
33.45	51	2 0 0
33.60	100	1 2 3
48.03	19	2 0 6
59.89	39	3 2 3
60.19	19	2 4 0
70.64	12	2 4 6

Atomic structure:
Cell: 5.3570 7.5099 16.0764 Å, 90.00 90.00 90.00°
Space group Immm (No. 71)
Symmetry-distinct sites (fractional):
Er1 0.0000 0.2498 0.0000 [4 per cell]
Er2 0.0000 0.2500 0.3332 [8 per cell]
Tl1 0.0000 0.0000 0.1660 [4 per cell]
Tl2 0.0000 0.5000 0.1692 [4 per cell]
Tl3 0.0000 0.5000 0.5000 [2 per cell]
Pb1 0.0000 0.0000 0.5000 [2 per cell]

***

# 3
For Li2Y2PaS6, a crystal structure in Alexandria, relaxed with GGA-PBE gives the computed powder diffractogram in this record (Cu Kα X-rays).
No peak broadening, texture or thermal motion is included.

Principal peaks in the range 2θ = 10–80°, by angle:
2theta	I (rel.)	index
14.37	100	0 0 1
26.45	69	2 0 -1
32.52	99	1 3 1
35.76	20	1 3 -2
45.81	24	3 3 -1
47.49	23	1 3 -3

Atomic structure:
Cell: 6.8701 11.8450 6.5708 Å, 90.00 110.23 90.00°
Space group C2/m (No. 12)
Symmetry-distinct sites (fractional):
Li1 0.0000 0.1696 0.0000 [4 per cell]
Y1 0.0000 0.3351 0.5000 [4 per cell]
Pa1 0.0000 0.0000 0.5000 [2 per cell]
S1 0.2416 0.0000 0.2545 [4 per cell]
S2 0.2417 0.1676 0.7453 [8 per cell]

***

# 4
For Sn4Cl5F2, a crystal structure in Alexandria, relaxed with GGA-PBE gives the computed powder diffractogram in this record (Cu Kα X-rays).
No peak broadening, texture or thermal motion is included.

Principal peaks in the range 2θ = 10–80°, by angle:
2theta	I (rel.)	index
13.03	39	0 1 1
18.64	39	0 1 3
25.77	36	1 1 2
28.39	51	0 0 6
32.50	100	1 2 1
40.25	52	1 2 5

Atomic structure:
Cell: 4.3205 7.2867 18.8594 Å, 90.00 90.00 90.00°
Space group Immm (No. 71)
Symmetry-distinct sites (fractional):
Sn1 0.0000 0.0000 0.1820 [4 per cell]
Sn2 0.0000 0.2799 0.5000 [4 per cell]
Cl1 0.0000 0.2487 0.3456 [8 per cell]
Cl2 0.0000 0.5000 0.0000 [2 per cell]
F1 0.0000 0.0000 0.0699 [4 per cell]

***

# 5
For AlAuI6, a crystal structure in Alexandria, relaxed with GGA-PBE gives the computed powder diffractogram in this record (Cu Kα X-rays).
No peak broadening, texture or thermal motion is included.

Principal peaks in the range 2θ = 10–80°, by angle:
2theta	I (rel.)	index
13.34	100	1 1 0
16.80	35	1 1 -1
23.94	90	2 0 1
28.21	71	2 2 -1
29.93	89	0 2 2
38.87	29	1 3 2

Atomic structure:
Cell: 9.2891 9.5910 7.7051 Å, 90.00 97.99 90.00°
Space group C2/m (No. 12)
Symmetry-distinct sites (fractional):
Al1 0.0000 0.0000 0.0000 [2 per cell]
Au1 0.0000 0.0000 0.5000 [2 per cell]
I1 0.0698 0.1973 0.2762 [8 per cell]
I2 0.2201 0.5000 0.0540 [4 per cell]

***

# 6
For CdAu, a crystal structure in Alexandria, relaxed with GGA-PBE gives the computed powder diffractogram in this record (Cu Kα X-rays).
No peak broadening, texture or thermal motion is included.

Principal peaks in the range 2θ = 10–80°, by angle:
2theta	I (rel.)	index
33.78	24	1 0 0
37.35	24	0 0 4
38.75	100	1 0 2
60.43	18	1 1 0
68.30	18	1 0 6
73.24	20	1 1 4

Atomic structure:
Cell: 3.0638 3.0638 9.6296 Å, 90.00 90.00 120.00°
Space group P-3m1 (No. 164)
Symmetry-distinct sites (fractional):
Cd1 0.3333 0.6667 0.3668 [2 per cell]
Au1 0.3333 0.6667 0.8780 [2 per cell]

***

What did the sixth record say?
For CdAu, a crystal structure in Alexandria, relaxed with GGA-PBE gives the computed powder diffractogram in this record (Cu Kα X-rays).
No peak broadening, texture or thermal motion is included.

Principal peaks in the range 2θ = 10–80°, by angle:
2theta	I (rel.)	index
33.78	24	1 0 0
37.35	24	0 0 4
38.75	100	1 0 2
60.43	18	1 1 0
68.30	18	1 0 6
73.24	20	1 1 4

Atomic structure:
Cell: 3.0638 3.0638 9.6296 Å, 90.00 90.00 120.00°
Space group P-3m1 (No. 164)
Symmetry-distinct sites (fractional):
Cd1 0.3333 0.6667 0.3668 [2 per cell]
Au1 0.3333 0.6667 0.8780 [2 per cell]

***

Which formula does entry 1 have? PmSb6Rh12